For PmNdHgRu, DFT lattice parameters and positions (GGA-PBE) gives the simulated powder diffractogram in this record (Cu Kα (weighted mean of Kα1 and Kα2)).
No peak broadening, texture or thermal motion is included.

Peak list (10 most intense, 2θ = 5–70°, in order of rising 2θ)
two_theta, I_rel
27.5, 12
34.1, 100
34.6, 5
35.6, 48
46.7, 8
50.4, 7
51.2, 17
60.0, 16
62.9, 34
65.4, 5

```
4
Lattice="3.570 0.000 0.000 0.000 3.570 0.000 0.000 0.000 7.782" Properties=species:S:1:pos:R:3 pbc="T T T"
Pm 0.000 0.000 0.000
Nd 0.000 0.000 3.425
Hg 1.785 1.785 5.629
Ru 1.785 1.785 1.693
```

For ZrRhW, DFT lattice parameters and positions (GGA-PBE) gives the simulated powder diffractogram in this record (Cu Kα (weighted mean of Kα1 and Kα2)).
No peak broadening, texture or thermal motion is included.

Peak list (10 most intense, 2θ = 5–70°, in order of rising 2θ)
two_theta, I_rel
12.5, 70
36.6, 70
37.6, 77
37.9, 35
38.1, 100
38.4, 93
40.1, 54
41.2, 68
42.7, 39
44.0, 42

```
6
Lattice="3.002 0.000 0.000 0.776 4.933 0.000 1.349 0.717 7.082" Properties=species:S:1:pos:R:3 pbc="T T T"
Zr 0.425 1.028 1.210
Zr 4.702 4.623 5.872
Rh 1.892 3.343 1.188
Rh 3.235 2.308 5.895
W 1.809 1.626 3.746
W 3.318 4.025 3.336
```

For Re2Tc, DFT lattice parameters and positions (GGA-PBE) gives the simulated powder diffractogram in this record (Cu Kα (weighted mean of Kα1 and Kα2)).
No peak broadening, texture or thermal motion is included.

Peak list (10 most intense, 2θ = 5–70°, in order of rising 2θ)
two_theta, I_rel
15.2, 8
30.6, 2
33.3, 5
40.0, 100
46.5, 33
46.6, 16
49.2, 2
51.2, 1
56.7, 1
67.9, 32

```
3
Lattice="-1.381 1.381 5.847 1.381 -1.381 5.847 1.381 1.381 -5.847" Properties=species:S:1:pos:R:3 pbc="T T T"
Re 0.000 0.000 1.944
Re 0.000 0.000 9.749
Tc 0.000 0.000 5.847
```

For Pu2ZnPt5, DFT lattice parameters and positions (GGA-PBE) gives the simulated powder diffractogram in this record (Cu Kα (weighted mean of Kα1 and Kα2)).
No peak broadening, texture or thermal motion is included.

Peak list (10 most intense, 2θ = 5–70°, in order of rising 2θ)
two_theta, I_rel
30.6, 15
35.4, 10
36.0, 100
38.2, 92
41.4, 76
43.5, 11
46.2, 24
56.9, 12
63.1, 12
63.8, 33

```
8
Lattice="-2.948 3.236 3.927 2.948 -3.236 3.927 2.948 3.236 -3.927" Properties=species:S:1:pos:R:3 pbc="T T T"
Pu 0.000 0.000 0.000
Pu 0.000 0.000 3.724
Zn 2.948 0.000 2.775
Pt 1.399 1.829 1.817
Pt 1.549 -1.406 5.743
Pt 1.399 4.642 1.817
Pt 1.549 1.406 5.743
Pt 0.000 3.236 3.922
```

For TbPd, DFT lattice parameters and positions (GGA-PBE) gives the simulated powder diffractogram in this record (Cu Kα (weighted mean of Kα1 and Kα2)).
No peak broadening, texture or thermal motion is included.

Peak list (10 most intense, 2θ = 5–70°, in order of rising 2θ)
two_theta, I_rel
28.1, 41
32.1, 88
34.6, 61
36.0, 100
38.8, 57
39.8, 78
42.1, 24
53.0, 38
55.1, 30
69.5, 24

```
8
Lattice="6.981 0.000 0.000 0.000 4.641 0.000 0.000 0.000 5.585" Properties=species:S:1:pos:R:3 pbc="T T T"
Tb 1.275 1.160 0.796
Tb 2.216 3.480 3.589
Tb 4.766 1.160 1.996
Tb 5.706 3.480 4.788
Pd 0.292 1.160 3.650
Pd 3.199 3.480 0.858
Pd 3.783 1.160 4.727
Pd 6.689 3.480 1.935
```

For CeThNiN3, DFT lattice parameters and positions (GGA-PBE) gives the simulated powder diffractogram in this record (Cu Kα (weighted mean of Kα1 and Kα2)).
No peak broadening, texture or thermal motion is included.

Peak list (10 most intense, 2θ = 5–70°, in order of rising 2θ)
two_theta, I_rel
16.3, 32
24.9, 27
26.1, 28
28.7, 100
33.0, 28
35.8, 78
36.2, 30
37.8, 25
45.8, 19
50.7, 21

```
12
Lattice="7.187 0.000 0.000 0.000 3.456 0.000 -0.846 0.000 7.293" Properties=species:S:1:pos:R:3 pbc="T T T"
Ce 1.279 0.864 1.095
Ce 5.062 2.592 6.198
Th 0.826 0.864 4.695
Th 5.515 2.592 2.598
Ni 2.317 2.592 6.528
Ni 4.025 0.864 0.765
N 0.222 2.592 6.412
N 0.665 2.592 2.944
N 3.173 2.592 1.203
N 3.168 0.864 6.090
N 5.677 0.864 4.349
N 6.120 0.864 0.881
```

For ZnFeIr4, DFT lattice parameters and positions (GGA-PBE) gives the simulated powder diffractogram in this record (Cu Kα (weighted mean of Kα1 and Kα2)).
No peak broadening, texture or thermal motion is included.

Peak list (10 most intense, 2θ = 5–70°, in order of rising 2θ)
two_theta, I_rel
15.6, 20
31.6, 4
33.8, 13
40.8, 100
47.1, 34
48.2, 15
49.9, 5
52.5, 4
68.8, 11
69.6, 20

```
6
Lattice="2.730 0.000 0.000 0.000 2.730 0.000 0.000 0.000 11.335" Properties=species:S:1:pos:R:3 pbc="T T T"
Zn 0.000 0.000 0.000
Fe 1.365 1.365 5.667
Ir 0.000 0.000 3.843
Ir 0.000 0.000 7.491
Ir 1.365 1.365 1.953
Ir 1.365 1.365 9.381
```

For Ce3Np2O9, DFT lattice parameters and positions (GGA-PBE) gives the simulated powder diffractogram in this record (Cu Kα (weighted mean of Kα1 and Kα2)).
No peak broadening, texture or thermal motion is included.

Peak list (10 most intense, 2θ = 5–70°, in order of rising 2θ)
two_theta, I_rel
6.5, 10
28.2, 100
32.6, 24
32.9, 11
46.8, 17
47.0, 32
55.6, 31
55.9, 14
58.4, 10
68.4, 5

```
14
Lattice="-1.940 1.940 13.617 1.940 -1.940 13.617 1.940 1.940 -13.617" Properties=species:S:1:pos:R:3 pbc="T T T"
Ce 0.000 0.000 0.000
Ce 0.000 0.000 10.940
Ce 0.000 0.000 16.294
Np 0.000 0.000 5.356
Np 0.000 0.000 21.878
O 1.940 0.000 1.478
O 1.940 0.000 4.386
O 1.940 0.000 9.230
O 1.940 0.000 12.139
O 0.000 1.940 1.312
O 0.000 1.940 4.092
O 0.000 1.940 6.808
O 0.000 1.940 9.525
O 0.000 1.940 12.305
```

For Th4Tc2I5, DFT lattice parameters and positions (GGA-PBE) gives the simulated powder diffractogram in this record (Cu Kα (weighted mean of Kα1 and Kα2)).
No peak broadening, texture or thermal motion is included.

Peak list (10 most intense, 2θ = 5–70°, in order of rising 2θ)
two_theta, I_rel
10.5, 48
24.2, 19
25.8, 28
27.1, 47
29.8, 100
32.0, 50
37.3, 51
44.1, 28
45.2, 21
56.4, 20

```
11
Lattice="-2.007 4.638 9.885 2.007 -4.638 9.885 2.007 4.638 -9.885" Properties=species:S:1:pos:R:3 pbc="T T T"
Th 0.000 0.000 3.591
Th 2.007 1.859 0.000
Th 0.000 2.778 9.885
Th 0.000 0.000 16.180
Tc 0.000 0.000 1.227
Tc 0.000 0.000 18.543
I 2.007 2.696 -3.351
I 2.007 2.696 3.351
I 0.000 4.638 0.000
I 0.000 1.942 6.535
I 0.000 1.942 13.236
```

For TlGaClF2, DFT lattice parameters and positions (GGA-PBE) gives the simulated powder diffractogram in this record (Cu Kα (weighted mean of Kα1 and Kα2)).
No peak broadening, texture or thermal motion is included.

Peak list (10 most intense, 2θ = 5–70°, in order of rising 2θ)
two_theta, I_rel
17.0, 19
26.6, 100
28.8, 53
33.7, 40
34.4, 28
41.2, 34
45.5, 31
49.7, 38
54.8, 29
57.1, 13

```
5
Lattice="4.381 0.000 0.000 0.000 4.381 0.000 0.000 0.000 5.209" Properties=species:S:1:pos:R:3 pbc="T T T"
Tl 0.000 0.000 0.000
Ga 2.191 2.191 2.604
Cl 2.191 2.191 0.000
F 0.000 2.191 2.604
F 2.191 0.000 2.604
```

For LiPm3Cd3, DFT lattice parameters and positions (GGA-PBE) gives the simulated powder diffractogram in this record (Cu Kα (weighted mean of Kα1 and Kα2)).
No peak broadening, texture or thermal motion is included.

Peak list (10 most intense, 2θ = 5–70°, in order of rising 2θ)
two_theta, I_rel
8.3, 17
21.6, 17
25.1, 16
32.5, 100
33.4, 57
34.4, 83
35.6, 46
35.7, 27
49.6, 37
64.8, 26

```
7
Lattice="-1.727 2.521 10.653 1.727 -2.521 10.653 1.727 2.521 -10.653" Properties=species:S:1:pos:R:3 pbc="T T T"
Li 0.000 0.000 0.000
Pm 1.727 0.000 2.787
Pm 0.000 0.000 9.188
Pm 0.000 2.521 4.971
Cd 1.727 0.000 6.192
Cd 0.000 2.521 1.482
Cd 0.000 0.000 18.520
```

For Y2Ga3Ni5, DFT lattice parameters and positions (GGA-PBE) gives the simulated powder diffractogram in this record (Cu Kα (weighted mean of Kα1 and Kα2)).
No peak broadening, texture or thermal motion is included.

Peak list (10 most intense, 2θ = 5–70°, in order of rising 2θ)
two_theta, I_rel
32.6, 36
35.6, 100
35.9, 51
39.6, 19
43.3, 70
44.1, 79
45.0, 29
46.0, 27
49.3, 27
57.5, 25

```
20
Lattice="2.090 -10.606 0.000 2.090 10.606 0.000 0.000 0.000 7.073" Properties=species:S:1:pos:R:3 pbc="T T T"
Y 2.090 10.271 3.536
Y 2.090 3.272 7.025
Y 2.090 -3.272 3.489
Y 2.090 -10.271 0.000
Ga 2.090 8.058 1.229
Ga 2.090 5.432 4.679
Ga 2.090 1.211 2.113
Ga 2.090 -1.211 5.649
Ga 2.090 -5.432 1.143
Ga 2.090 -8.058 4.766
Ni 2.090 8.100 5.590
Ni 2.090 6.015 6.991
Ni 2.090 5.559 2.328
Ni 2.090 3.208 3.448
Ni 2.090 1.163 4.938
Ni 2.090 -1.163 1.402
Ni 2.090 -3.208 6.985
Ni 2.090 -5.559 5.864
Ni 2.090 -6.015 3.455
Ni 2.090 -8.100 2.053
```

For Rb4CdAu4, DFT lattice parameters and positions (GGA-PBE) gives the simulated powder diffractogram in this record (Cu Kα (weighted mean of Kα1 and Kα2)).
No peak broadening, texture or thermal motion is included.

Peak list (10 most intense, 2θ = 5–70°, in order of rising 2θ)
two_theta, I_rel
13.6, 11
21.2, 36
24.6, 88
28.2, 12
35.0, 100
41.3, 14
43.2, 21
50.3, 9
56.7, 14
62.7, 17

```
9
Lattice="-3.629 3.629 7.231 3.629 -3.629 7.231 3.629 3.629 -7.231" Properties=species:S:1:pos:R:3 pbc="T T T"
Rb 2.055 2.055 -2.011
Rb 1.575 -1.575 9.243
Rb 1.575 1.575 5.220
Rb -1.575 1.575 9.243
Cd 0.000 0.000 0.000
Au 1.980 -1.980 5.563
Au 1.650 1.650 1.669
Au -1.980 1.980 5.563
Au 1.980 1.980 8.900
```

For Tb2Y7, DFT lattice parameters and positions (GGA-PBE) gives the simulated powder diffractogram in this record (Cu Kα (weighted mean of Kα1 and Kα2)).
No peak broadening, texture or thermal motion is included.

Peak list (10 most intense, 2θ = 5–70°, in order of rising 2θ)
two_theta, I_rel
27.0, 14
31.0, 69
31.9, 100
32.8, 29
37.8, 23
45.1, 21
54.0, 19
56.3, 19
56.9, 15
61.4, 32

```
9
Lattice="9.710 0.000 0.000 -4.855 8.409 0.000 0.000 0.000 3.588" Properties=species:S:1:pos:R:3 pbc="T T T"
Tb 0.000 5.606 0.000
Tb 4.855 2.803 0.000
Y 0.000 0.000 1.794
Y -1.753 3.036 1.794
Y -3.368 5.834 0.000
Y 1.487 2.575 0.000
Y 3.506 0.000 1.794
Y 3.102 5.373 1.794
Y 6.736 0.000 0.000
```